# 1
For AcGe5, a cell relaxed with PBE gives the computed PXRD pattern in this record (Cu Kα X-rays).

The 10 most intense peaks (15° ≤ 2θ ≤ 90°), sorted by position:
d (Å)  Position (°2θ)  intensity
3.785  23.51  18
3.454  25.79  36
3.017  29.61  25
2.745  32.62  60
2.613  34.32  100
2.468  36.40  78
2.037  44.47  26
2.009  45.12  19
1.636  56.22  25
1.593  57.89  28

Crystal structure
Cell: 6.390 6.390 6.390 Å, 142.82 118.74 73.89°
Atoms (fractional coordinates):
Ac (0.000, 0.000, 0.000)
Ge (0.131, 0.326, 0.805)
Ge (0.479, 0.674, 0.805)
Ge (0.500, 0.000, 0.500)
Ge (0.521, 0.326, 0.195)
Ge (0.869, 0.674, 0.195)



# 2
For Pm8Ga2Te, a cell relaxed with PBE gives the computed PXRD pattern in this record (Cu Kα X-rays).

The 10 most intense peaks (15° ≤ 2θ ≤ 90°), sorted by position:
d (Å)  Position (°2θ)  intensity
3.239  27.54  49
3.047  29.31  39
2.972  30.07  65
2.872  31.14  100
2.771  32.31  23
2.736  32.73  43
2.721  32.92  29
2.635  34.02  22
2.463  36.48  65
1.535  60.28  29

Crystal structure
Cell: 10.208 10.208 7.072 Å, 101.54 101.54 27.93°
Atoms (fractional coordinates):
Pm (0.033, 0.033, 0.260)
Pm (0.211, 0.211, 0.830)
Pm (0.335, 0.335, 0.509)
Pm (0.403, 0.403, 0.033)
Pm (0.597, 0.597, 0.967)
Pm (0.665, 0.665, 0.491)
Pm (0.789, 0.789, 0.170)
Pm (0.967, 0.967, 0.740)
Ga (0.187, 0.187, 0.250)
Ga (0.813, 0.813, 0.750)
Te (0.500, 0.500, 0.500)



> What is the formula in the first record?

AcGe5